BaSrEuSeO6: computed powder diffraction line list (Cu Ka), based on the PBE geometry in the Materials Project.

Main lines, by intensity (2θ = 10–80°):
- 2θ 30.1, intensity 100
- 2θ 53.4, intensity 39
- 2θ 43.0, intensity 30
- 2θ 70.9, intensity 19
- 2θ 62.5, intensity 18
- 2θ 37.0, intensity 9
- 2θ 78.9, intensity 6
- 2θ 21.1, intensity 4

Structural model:
Cell: 5.9449 5.9449 5.9449 Å, 60.00 60.00 60.00°
Positions (direct):
Ba: 0.0000 0.0000 0.0000
Sr: 0.2500 0.2500 0.2500
Eu: 0.5000 0.5000 0.5000
Se: 0.7500 0.7500 0.7500
O: 0.5318 0.5318 0.9682
O: 0.5318 0.9682 0.5318
O: 0.5318 0.9682 0.9682
O: 0.9682 0.5318 0.5318
O: 0.9682 0.5318 0.9682
O: 0.9682 0.9682 0.5318